Record 1
Zr3TaAl2C2: theoretical PXRD pattern (Cu Kα X-rays), based on a DFT-relaxed cell (PBE, OQMD).
Lines closer than 0.1° are merged.

Largest 12 diffraction maxima, in order of rising 2θ, 10 to 80 degrees two-theta:
12.27 deg, rel. 43, hkl 0 0 2
24.69 deg, rel. 11, hkl 0 0 4
31.68 deg, rel. 23, hkl 1 0 0
32.30 deg, rel. 24, hkl 0 1 1
36.91 deg, rel. 100, hkl 1 0 3
37.41 deg, rel. 19, hkl 0 0 6
40.58 deg, rel. 11, hkl 1 0 4
49.81 deg, rel. 16, hkl 0 1 6
56.44 deg, rel. 21, hkl 1 1 0
67.16 deg, rel. 15, hkl 1 0 9
69.37 deg, rel. 15, hkl 0 2 3
69.69 deg, rel. 18, hkl 1 1 6

Crystal structure
Cell: 3.2609 3.2609 14.4236 Å, 90.00 90.00 120.00°
Space group P3m1 (No. 156)
Unique sites:
Zr 0.0000 0.0000 0.0000 x1
Zr 0.0000 0.0000 0.3295 x1
Zr 0.6667 0.3333 0.5091 x1
Ta 0.6667 0.3333 0.8270 x1
Al 0.0000 0.0000 0.6731 x1
Al 0.6667 0.3333 0.1645 x1
C 0.3333 0.6667 0.4187 x1
C 0.3333 0.6667 0.9073 x1



Record 2
Zr2Al3C5: theoretical PXRD pattern (Cu Kα X-rays), based on a DFT-relaxed cell (PBE, OQMD).
Lines closer than 0.1° are merged.

Largest 12 diffraction maxima, in order of rising 2θ, 10 to 80 degrees two-theta:
21.83 deg, rel. 15, hkl 0 0 6
29.25 deg, rel. 13, hkl 0 0 8
32.65 deg, rel. 15, hkl 1 0 2
33.69 deg, rel. 75, hkl 1 0 3
35.11 deg, rel. 11, hkl 1 0 4
36.84 deg, rel. 100, hkl 0 0 10
38.90 deg, rel. 46, hkl 1 0 6
41.21 deg, rel. 43, hkl 1 0 7
43.74 deg, rel. 14, hkl 1 0 8
56.64 deg, rel. 43, hkl 1 1 0
59.12 deg, rel. 31, hkl 1 0 13
69.48 deg, rel. 35, hkl 1 1 10

Crystal structure
Cell: 3.2502 3.2502 24.4251 Å, 90.00 90.00 120.00°
Space group P6_3/mmc (No. 194)
Unique sites:
Zr 0.3333 0.6667 0.0566 x4
Al 0.0000 0.0000 0.1538 x4
Al 0.3333 0.6667 0.7500 x2
C 0.0000 0.0000 0.0000 x2
C 0.3333 0.6667 0.2172 x4
C 0.3333 0.6667 0.6142 x4



Record 3
AlCdCu6: theoretical PXRD pattern (Cu Kα X-rays), based on a DFT-relaxed cell (PBE, OQMD).
Lines closer than 0.1° are merged.

Largest 12 diffraction maxima, in order of rising 2θ, 10 to 80 degrees two-theta:
19.45 deg, rel. 9, hkl 1 0 0
20.72 deg, rel. 4, hkl 0 0 1
28.57 deg, rel. 5, hkl 1 0 1
39.49 deg, rel. 26, hkl 2 0 0
40.17 deg, rel. 4, hkl 1 1 1
42.15 deg, rel. 27, hkl 0 0 2
45.00 deg, rel. 100, hkl 2 0 1
46.82 deg, rel. 2, hkl 1 0 2
53.09 deg, rel. 2, hkl 2 1 0
59.13 deg, rel. 15, hkl 2 0 2
71.63 deg, rel. 15, hkl 2 2 0
79.06 deg, rel. 17, hkl 2 0 3

Crystal structure
Cell: 5.2697 5.2697 4.2874 Å, 90.00 90.00 120.00°
Space group P-6m2 (No. 187)
Unique sites:
Al 0.0000 0.0000 0.0000 x1
Cd 0.6667 0.3333 0.5000 x1
Cu 0.0159 0.5079 0.0000 x3
Cu 0.1673 0.3346 0.5000 x3



Record 4
Tb2DyAlCd3Ga2: theoretical PXRD pattern (Cu Kα X-rays), based on a DFT-relaxed cell (PBE, OQMD).
Lines closer than 0.1° are merged.

Largest 12 diffraction maxima, in order of rising 2θ, 10 to 80 degrees two-theta:
24.52 deg, rel. 16, hkl 1 1 1
31.82 deg, rel. 99, hkl 1 3 1
34.93 deg, rel. 100, hkl 1 4 0
37.77 deg, rel. 61, hkl 0 1 3
40.70 deg, rel. 32, hkl 2 0 0
43.08 deg, rel. 15, hkl 0 6 0
52.34 deg, rel. 14, hkl 0 7 1
56.60 deg, rel. 29, hkl 1 5 3
56.73 deg, rel. 37, hkl 2 1 3
68.21 deg, rel. 16, hkl 1 1 5
68.30 deg, rel. 15, hkl 1 8 2
70.37 deg, rel. 13, hkl 3 4 0

Crystal structure
Cell: 4.4332 12.5969 7.2813 Å, 90.00 90.00 90.00°
Space group Amm2 (No. 38)
Unique sites:
Tb 0.0000 0.2162 0.0000 x4
Dy 0.0000 0.0000 0.6487 x2
Al 0.0000 0.0000 0.2168 x2
Cd 0.5000 0.0000 0.9698 x2
Cd 0.5000 0.1231 0.3394 x4
Ga 0.5000 0.1663 0.7162 x4